This entry pairs a crystal structure of Sr6Ge5N2 with its theoretical powder diffraction line list. Radiation: Cu Kα. Structure: a cell relaxed with GGA-PBE.
Kinematic intensities with the Lorentz-polarization factor, no thermal factor.

Peak list (10 most intense, 2θ from 10° to 90°, in order of rising 2θ)
Position (°2θ), d_spacing, I (rel.)
28.24, 3.160, 85
29.23, 3.055, 38
29.63, 3.015, 100
31.06, 2.880, 76
31.18, 2.868, 50
33.17, 2.701, 77
35.60, 2.522, 71
38.55, 2.335, 49
44.68, 2.028, 59
54.53, 1.683, 44

Structure:
```
Sr6Ge5N2
1.0
4.0568 0.0000 0.0000
0.0000 18.0948 0.0000
0.0000 0.0000 9.1650
Sr Ge N
12 10 4
direct
0.2500 0.0663 0.1142 Sr
0.2500 0.2500 0.7594 Sr
0.2500 0.4337 0.1142 Sr
0.2500 0.6104 0.5367 Sr
0.2500 0.7500 0.8370 Sr
0.2500 0.8896 0.5367 Sr
0.7500 0.1104 0.4633 Sr
0.7500 0.2500 0.1630 Sr
0.7500 0.3896 0.4633 Sr
0.7500 0.5663 0.8858 Sr
0.7500 0.7500 0.2406 Sr
0.7500 0.9337 0.8858 Sr
0.2500 0.0548 0.7361 Ge
0.2500 0.2500 0.4210 Ge
0.2500 0.4452 0.7361 Ge
0.2500 0.6198 0.1457 Ge
0.2500 0.8802 0.1457 Ge
0.7500 0.1198 0.8543 Ge
0.7500 0.3802 0.8543 Ge
0.7500 0.5548 0.2639 Ge
0.7500 0.7500 0.5790 Ge
0.7500 0.9452 0.2639 Ge
0.2500 0.1666 0.2934 N
0.2500 0.3334 0.2934 N
0.7500 0.6666 0.7066 N
0.7500 0.8334 0.7066 N
```

This entry pairs a crystal structure of Sr2GeN2 with its theoretical powder diffraction line list. Radiation: Cu Kα. Structure: a cell relaxed with GGA-PBE.
Kinematic intensities with the Lorentz-polarization factor, no thermal factor.

Peak list (10 most intense, 2θ from 10° to 90°, in order of rising 2θ)
Position (°2θ), d_spacing, I (rel.)
28.33, 3.151, 45
29.41, 3.037, 64
32.05, 2.792, 100
32.80, 2.730, 90
34.43, 2.605, 89
39.91, 2.259, 34
48.33, 1.883, 21
52.58, 1.741, 31
58.09, 1.588, 16
63.18, 1.472, 18

Structure:
```
Sr2GeN2
1.0
2.7305 -5.7410 0.0000
2.7305 5.7410 0.0000
0.0000 0.0000 12.2861
Sr Ge N
8 4 8
direct
0.0476 0.9524 0.8574 Sr
0.1445 0.8555 0.4425 Sr
0.3555 0.6445 0.9425 Sr
0.4524 0.5476 0.3574 Sr
0.5476 0.4524 0.6426 Sr
0.6445 0.3555 0.0575 Sr
0.8555 0.1445 0.5575 Sr
0.9524 0.0476 0.1426 Sr
0.2397 0.7603 0.6805 Ge
0.2603 0.7397 0.1805 Ge
0.7397 0.2603 0.8195 Ge
0.7603 0.2397 0.3195 Ge
0.0791 0.9209 0.6414 N
0.1599 0.8401 0.0605 N
0.3401 0.6599 0.5605 N
0.4209 0.5791 0.1414 N
0.5791 0.4209 0.8586 N
0.6599 0.3401 0.4395 N
0.8401 0.1599 0.9395 N
0.9209 0.0791 0.3586 N
```

This entry pairs a crystal structure of Tb4Ge2N with its theoretical powder diffraction line list. Radiation: Cu Kα. Structure: a cell relaxed with GGA-PBE.
Kinematic intensities with the Lorentz-polarization factor, no thermal factor.

Peak list (10 most intense, 2θ from 10° to 90°, in order of rising 2θ)
Position (°2θ), d_spacing, I (rel.)
28.39, 3.144, 18
30.57, 2.924, 35
32.32, 2.770, 100
33.12, 2.705, 20
36.16, 2.484, 21
37.22, 2.416, 13
40.52, 2.226, 21
46.58, 1.950, 22
52.77, 1.735, 15
55.04, 1.668, 14

Structure:
```
Tb4Ge2N
1.0
5.9305 -1.9507 0.0000
5.9305 1.9507 0.0000
-4.7555 0.0000 6.6819
Tb Ge N
4 2 1
direct
0.0811 0.0811 0.3454 Tb
0.3434 0.3434 0.9246 Tb
0.6566 0.6566 0.0754 Tb
0.9189 0.9189 0.6546 Tb
0.3817 0.3817 0.3298 Ge
0.6183 0.6183 0.6702 Ge
0.0000 0.0000 0.0000 N
```

This entry pairs a crystal structure of Tm8Ge3Te4N with its theoretical powder diffraction line list. Radiation: Cu Kα. Structure: a cell relaxed with GGA-PBE.
Kinematic intensities with the Lorentz-polarization factor, no thermal factor.

Peak list (10 most intense, 2θ from 10° to 90°, in order of rising 2θ)
Position (°2θ), d_spacing, I (rel.)
26.67, 3.342, 11
30.58, 2.923, 100
33.24, 2.695, 14
43.10, 2.099, 30
44.48, 2.037, 38
54.94, 1.671, 22
60.47, 1.531, 10
63.65, 1.462, 16
73.27, 1.292, 16
80.95, 1.188, 12

Structure:
```
Tm8Ge3Te4N
1.0
4.0733 2.3517 6.9638
-4.0733 2.3517 6.9638
0.0000 -4.7035 6.9638
Tm Ge Te N
8 3 4 1
direct
0.2403 0.2403 0.2403 Tm
0.2556 0.7241 0.7241 Tm
0.2759 0.2759 0.7444 Tm
0.2759 0.7444 0.2759 Tm
0.7241 0.2556 0.7241 Tm
0.7241 0.7241 0.2556 Tm
0.7444 0.2759 0.2759 Tm
0.7597 0.7597 0.7597 Tm
0.0000 0.0000 0.5000 Ge
0.0000 0.5000 0.0000 Ge
0.5000 0.0000 0.0000 Ge
0.0000 0.0000 0.0000 Te
0.0000 0.5000 0.5000 Te
0.5000 0.0000 0.5000 Te
0.5000 0.5000 0.0000 Te
0.5000 0.5000 0.5000 N
```

This entry pairs a crystal structure of UGeTe2N with its theoretical powder diffraction line list. Radiation: Cu Kα. Structure: a cell relaxed with GGA-PBE.
Kinematic intensities with the Lorentz-polarization factor, no thermal factor.

Peak list (10 most intense, 2θ from 10° to 90°, in order of rising 2θ)
Position (°2θ), d_spacing, I (rel.)
12.26, 7.220, 19
28.99, 3.080, 86
31.56, 2.835, 100
33.40, 2.683, 76
40.46, 2.229, 19
45.24, 2.004, 41
49.70, 1.835, 27
54.63, 1.680, 30
57.39, 1.606, 34
74.91, 1.268, 17

Structure:
```
UGeTe2N
1.0
4.0088 0.0000 0.0000
0.0000 4.0088 0.0000
0.0000 0.0000 14.4401
U Ge Te N
2 2 4 2
direct
0.2500 0.2500 0.0760 U
0.7500 0.7500 0.9240 U
0.2500 0.2500 0.5872 Ge
0.7500 0.7500 0.4128 Ge
0.2500 0.2500 0.3892 Te
0.2500 0.2500 0.8072 Te
0.7500 0.7500 0.1928 Te
0.7500 0.7500 0.6108 Te
0.2500 0.7500 0.0000 N
0.7500 0.2500 0.0000 N
```

This entry pairs a crystal structure of TiGe4N4 with its theoretical powder diffraction line list. Radiation: Cu Kα. Structure: a cell relaxed with GGA-PBE.
Kinematic intensities with the Lorentz-polarization factor, no thermal factor.

Peak list (10 most intense, 2θ from 10° to 90°, in order of rising 2θ)
Position (°2θ), d_spacing, I (rel.)
26.91, 3.313, 36
29.08, 3.071, 65
31.77, 2.817, 100
35.56, 2.525, 63
36.60, 2.455, 28
36.71, 2.448, 41
38.34, 2.348, 52
38.66, 2.329, 65
43.72, 2.070, 30
47.79, 1.903, 30

Structure:
```
TiGe4N4
1.0
5.2409 0.0000 0.0000
-2.1181 6.2975 0.0000
-0.7625 -1.4126 7.6456
Ti Ge N
2 8 8
direct
0.1714 0.3816 0.2423 Ti
0.8286 0.6184 0.7577 Ti
0.1452 0.9411 0.1401 Ge
0.2473 0.5053 0.6264 Ge
0.2546 0.9570 0.5510 Ge
0.4224 0.6964 0.0553 Ge
0.5776 0.3036 0.9447 Ge
0.7454 0.0430 0.4490 Ge
0.7527 0.4947 0.3736 Ge
0.8548 0.0589 0.8599 Ge
0.1151 0.1020 0.3584 N
0.1543 0.6518 0.4221 N
0.1925 0.6734 0.8392 N
0.2200 0.1872 0.0164 N
0.7800 0.8128 0.9836 N
0.8075 0.3266 0.1608 N
0.8457 0.3482 0.5779 N
0.8849 0.8980 0.6416 N
```